Diffraction record for SnHC2O3. The powder diffractogram is theoretical, not measured: it uses a cell relaxed with PBE and Cu Kα X-rays.
No peak broadening, texture or thermal motion is included.

Cell and atoms:
Cell: 13.974 7.947 8.758 Å, 90.00 125.19 90.00°
Space group C2/m (No. 12)
One atom of each set of equivalent atoms:
Sn (0.000, 0.211, 0.000) x4
Sn (0.208, 0.500, 0.826) x4
H (0.116, 0.396, 0.445) x8
C (0.113, 0.092, 0.465) x8
C (0.186, 0.092, 0.671) x8
O (0.070, 0.208, 0.343) x8
O (0.113, 0.000, 0.059) x4
O (0.154, 0.500, 0.523) x4
O (0.234, 0.202, 0.799) x8

Largest 10 diffraction maxima, low angle first, 2θ = 5–70°:
two_theta, intensity, index
12.37, 67.0, 0 0 1
15.07, 63.4, 1 1 -1
20.32, 33.9, 2 0 -2
24.11, 46.4, 1 1 -2
24.92, 24.9, 2 0 1
26.01, 77.0, 2 2 -1
26.10, 100.0, 4 0 -1
27.34, 64.9, 2 2 0
31.21, 48.8, 2 0 -3
47.48, 28.4, 4 2 -4

Diffraction record for La3CeTh4S8. The powder diffractogram is theoretical, not measured: it uses a cell relaxed with PBE and Cu Kα X-rays.
No peak broadening, texture or thermal motion is included.

Cell and atoms:
Cell: 8.1168 8.1168 20.2088 Å, 90.00 90.00 120.00°
Space group R-3m (No. 166, hexagonal axes)
One atom of each set of equivalent atoms:
La (0.0000, 0.5000, 0.0000) x9
Ce (0.0000, 0.0000, 0.0000) x3
Th (0.0000, 0.0000, 0.5000) x3
Th (0.0000, 0.5000, 0.5000) x9
S (0.0000, 0.0000, 0.2482) x6
S (0.0032, 0.5016, 0.7510) x18

Largest 10 diffraction maxima, low angle first, 2θ = 5–70°:
two_theta, intensity, index
26.46, 23.0, 0 0 6
26.86, 66.5, 2 0 2
31.00, 100.0, 0 2 4
44.15, 37.5, 2 0 8
44.66, 36.3, 2 2 0
52.22, 12.6, 0 2 10
52.66, 22.6, 2 2 6
52.88, 11.2, 0 4 2
55.35, 19.2, 4 0 4
64.61, 12.1, 0 4 8

Diffraction record for Li3Mg3TlHg2. The powder diffractogram is theoretical, not measured: it uses a cell relaxed with PBE and Cu Kα X-rays.
No peak broadening, texture or thermal motion is included.

Cell and atoms:
Cell: 8.0445 8.0445 3.2984 Å, 90.00 90.00 120.00°
Space group P-62m (No. 189)
One atom of each set of equivalent atoms:
Li (0.0000, 0.7043, 0.0000) x3
Mg (0.0000, 0.3753, 0.5000) x3
Tl (0.0000, 0.0000, 0.5000) x1
Hg (0.3333, 0.6667, 0.0000) x2

Largest 10 diffraction maxima, low angle first, 2θ = 5–70°:
two_theta, intensity, index
22.10, 100.0, 1 1 0
29.97, 45.9, 1 0 1
37.55, 31.3, 2 0 1
38.78, 35.5, 3 0 0
44.00, 35.5, 2 1 1
45.08, 16.7, 2 2 0
55.08, 15.8, 3 1 1
60.69, 13.5, 1 1 2
60.94, 13.9, 4 1 0
64.82, 13.7, 3 2 1

Diffraction record for Cs3BaP2O8. The powder diffractogram is theoretical, not measured: it uses a cell relaxed with PBE and Cu Kα X-rays.
No peak broadening, texture or thermal motion is included.

Cell and atoms:
Cell: 6.3017 6.3017 8.5773 Å, 90.00 90.00 120.00°
Space group P-3m1 (No. 164)
One atom of each set of equivalent atoms:
Cs (0.0000, 0.0000, 0.0000) x1
Cs (0.3333, 0.6667, 0.7306) x2
Ba (0.0000, 0.0000, 0.5000) x1
P (0.3333, 0.6667, 0.2563) x2
O (0.1981, 0.3962, 0.3152) x6
O (0.3333, 0.6667, 0.0751) x2

Largest 10 diffraction maxima, low angle first, 2θ = 5–70°:
two_theta, intensity, index
19.28, 14.4, 1 0 1
26.43, 100.0, 0 1 2
28.32, 86.6, 1 1 0
34.49, 14.5, 0 2 1
39.13, 41.8, 2 0 2
49.00, 30.7, 1 2 2
50.15, 16.0, 3 0 0
51.55, 26.4, 1 1 4
58.59, 13.2, 2 2 0
65.38, 16.0, 3 1 2

Diffraction record for Te3Rh5. The powder diffractogram is theoretical, not measured: it uses a cell relaxed with PBE and Cu Kα X-rays.
No peak broadening, texture or thermal motion is included.

Cell and atoms:
Cell: 10.215 7.863 7.046 Å, 90.00 90.00 90.00°
Space group Pnma (No. 62)
One atom of each set of equivalent atoms:
Te (0.036, 0.250, 0.081) x4
Te (0.191, 0.531, 0.408) x8
Rh (0.044, 0.048, 0.788) x8
Rh (0.057, 0.250, 0.457) x4
Rh (0.189, 0.750, 0.104) x4
Rh (0.201, 0.750, 0.694) x4

Largest 10 diffraction maxima, low angle first, 2θ = 5–70°:
two_theta, intensity, index
35.32, 100.0, 1 2 2
36.58, 39.8, 0 3 1
37.01, 78.2, 4 1 0
37.19, 26.6, 3 2 1
38.57, 85.6, 2 2 2
42.36, 41.4, 2 0 3
43.97, 46.7, 2 1 3
44.20, 52.4, 4 2 1
46.18, 39.4, 0 4 0
51.05, 31.7, 3 3 2

Diffraction record for NdSm2Hg3. The powder diffractogram is theoretical, not measured: it uses a cell relaxed with PBE and Cu Kα X-rays.
No peak broadening, texture or thermal motion is included.

Cell and atoms:
Cell: 3.811 3.811 11.427 Å, 90.00 90.00 90.00°
Space group P4/mmm (No. 123)
One atom of each set of equivalent atoms:
Nd (0.000, 0.000, 0.000) x1
Sm (0.000, 0.000, 0.335) x2
Hg (0.500, 0.500, 0.171) x2
Hg (0.500, 0.500, 0.500) x1

Largest 7 diffraction maxima, low angle first, 2θ = 5–70°:
two_theta, intensity, index
23.35, 2.5, 1 0 0
33.25, 100.0, 1 1 0
41.03, 0.9, 1 1 3
47.74, 18.4, 2 0 0
53.80, 1.2, 2 1 0
59.42, 38.3, 2 1 3
69.82, 11.9, 2 2 0

Diffraction record for PaTi4Bi2. The powder diffractogram is theoretical, not measured: it uses a cell relaxed with PBE and Cu Kα X-rays.
No peak broadening, texture or thermal motion is included.

Cell and atoms:
Cell: 13.356 6.988 7.590 Å, 90.00 119.72 90.00°
Space group C2 (No. 5)
One atom of each set of equivalent atoms:
Pa (0.233, 0.000, 0.470) x4
Ti (0.031, 0.339, 0.214) x4
Ti (0.033, 0.704, 0.340) x4
Ti (0.125, 0.614, 0.079) x4
Ti (0.131, 0.437, 0.669) x4
Bi (0.000, 0.081, 0.500) x2
Bi (0.000, 0.967, 0.000) x2
Bi (0.247, 0.278, 0.119) x4

Largest 10 diffraction maxima, low angle first, 2θ = 5–70°:
two_theta, intensity, index
27.06, 54.2, 0 0 2
28.92, 82.7, 0 2 1
29.45, 91.1, 2 2 -1
30.84, 100.0, 4 0 0
34.25, 93.9, 1 1 2
35.99, 88.8, 2 2 1
36.92, 54.9, 5 1 -2
37.29, 62.2, 4 2 -1
39.18, 55.8, 4 2 -2
40.52, 55.3, 1 3 -1

Diffraction record for BaHf2SbO8. The powder diffractogram is theoretical, not measured: it uses a cell relaxed with PBE and Cu Kα X-rays.
No peak broadening, texture or thermal motion is included.

Cell and atoms:
Cell: 6.851 7.104 7.099 Å, 90.00 90.00 90.00°
Space group Cmmm (No. 65)
One atom of each set of equivalent atoms:
Ba (0.000, 0.000, 0.000) x2
Hf (0.000, 0.500, 0.275) x4
Sb (0.000, 0.000, 0.500) x2
O (0.000, 0.300, 0.500) x4
O (0.000, 0.356, 0.000) x4
O (0.205, 0.000, 0.303) x8

Largest 10 diffraction maxima, low angle first, 2θ = 5–70°:
two_theta, intensity, index
25.07, 60.7, 0 2 0
26.01, 51.0, 2 0 0
31.04, 100.0, 1 1 2
36.44, 29.5, 2 2 0
48.06, 39.8, 1 3 2
49.14, 33.8, 3 1 2
51.47, 16.4, 0 4 0
58.56, 17.9, 2 0 4
62.24, 20.6, 3 3 2
64.72, 10.7, 2 2 4

Diffraction record for Ba2PuHfS6. The powder diffractogram is theoretical, not measured: it uses a cell relaxed with PBE and Cu Kα X-rays.
No peak broadening, texture or thermal motion is included.

Cell and atoms:
Cell: 10.232 10.232 10.232 Å, 90.00 90.00 90.00°
Space group Fm-3m (No. 225)
One atom of each set of equivalent atoms:
Ba (0.250, 0.250, 0.250) x8
Pu (0.000, 0.000, 0.000) x4
Hf (0.000, 0.000, 0.500) x4
S (0.000, 0.000, 0.255) x24

Largest 10 diffraction maxima, low angle first, 2θ = 5–70°:
two_theta, intensity, index
17.33, 14.5, 2 0 0
24.61, 100.0, 2 2 0
35.08, 42.0, 4 0 0
39.38, 7.3, 4 2 0
43.32, 46.0, 4 2 2
50.45, 29.2, 4 4 0
53.75, 3.8, 6 0 0
56.91, 21.0, 6 2 0
62.93, 10.0, 4 4 4
68.64, 24.2, 6 4 2

Diffraction record for Pr5Cd2Ag2. The powder diffractogram is theoretical, not measured: it uses a cell relaxed with PBE and Cu Kα X-rays.
No peak broadening, texture or thermal motion is included.

Cell and atoms:
Cell: 17.286 7.367 8.554 Å, 90.00 90.00 90.00°
Space group Cmce (No. 64)
One atom of each set of equivalent atoms:
Pr (0.000, 0.000, 0.000) x4
Pr (0.136, 0.181, 0.313) x16
Cd (0.220, 0.000, 0.000) x8
Ag (0.000, 0.111, 0.631) x8

Largest 10 diffraction maxima, low angle first, 2θ = 5–70°:
two_theta, intensity, index
28.68, 97.6, 3 1 2
29.38, 100.0, 4 0 2
30.41, 24.8, 5 1 1
31.93, 87.5, 4 2 0
32.07, 68.8, 0 2 2
33.64, 91.6, 4 2 1
34.12, 64.3, 1 1 3
38.50, 34.2, 1 3 1
41.81, 31.1, 8 0 0
46.97, 25.2, 3 1 4

Diffraction record for La7NiBr12. The powder diffractogram is theoretical, not measured: it uses a cell relaxed with PBE and Cu Kα X-rays.
No peak broadening, texture or thermal motion is included.

Cell and atoms:
Cell: 15.6127 15.6127 10.3988 Å, 90.00 90.00 120.00°
Space group R-3 (No. 148, hexagonal axes)
One atom of each set of equivalent atoms:
La (0.0000, 0.0000, 0.0000) x3
La (0.0391, 0.1630, 0.3414) x18
Ni (0.0000, 0.0000, 0.5000) x3
Br (0.0277, 0.5849, 0.1577) x18
Br (0.0451, 0.1816, 0.8458) x18

Largest 10 diffraction maxima, low angle first, 2θ = 5–70°:
two_theta, intensity, index
10.73, 9.5, 1 0 1
11.34, 31.9, 1 1 0
28.17, 9.9, 1 1 3
29.37, 100.0, 3 1 2
41.72, 35.9, 2 5 0
42.30, 35.9, 4 -3 4
51.83, 17.7, 8 -6 2
60.92, 10.8, 6 2 4
68.63, 14.3, 10 -1 2
69.47, 14.3, 7 -2 6